Diffraction record for Li8TiS6. The powder diffraction line list is theoretical, not measured: it uses DFT lattice parameters and positions (PBE) and Cu Ka.
Intensities are scaled so that the largest is 100.

Lattice parameters (Å, degrees): 14.7006 7.1001 10.2603 90.00 90.00 90.00
Element x y z (fractional)
Li 0.0199 0.0115 0.0000
Li 0.0594 0.7795 0.7483
Li 0.0672 0.3987 0.4115
Li 0.0755 0.4339 0.0510
Li 0.1153 0.8388 0.2195
Li 0.2150 0.0426 0.0403
Li 0.2309 0.0832 0.4049
Li 0.2437 0.4359 0.2269
Li 0.2563 0.9359 0.7269
Li 0.2691 0.5832 0.9049
Li 0.2850 0.5426 0.5403
Li 0.3847 0.3388 0.7195
Li 0.4245 0.9339 0.5510
Li 0.4328 0.8987 0.9115
Li 0.4406 0.2795 0.2483
Li 0.4801 0.5115 0.5000
Li 0.5199 0.4885 0.0000
Li 0.5594 0.7205 0.7483
Li 0.5672 0.1013 0.4115
Li 0.5755 0.0661 0.0510
Li 0.6153 0.6612 0.2195
Li 0.7150 0.4574 0.0403
Li 0.7309 0.4168 0.4049
Li 0.7437 0.0641 0.2269
Li 0.7563 0.5641 0.7269
Li 0.7691 0.9168 0.9049
Li 0.7850 0.9574 0.5403
Li 0.8847 0.1612 0.7195
Li 0.9245 0.5661 0.5510
Li 0.9328 0.6013 0.9115
Li 0.9406 0.2205 0.2483
Li 0.9801 0.9885 0.5000
Ti 0.1244 0.2718 0.7319
Ti 0.3756 0.7718 0.2319
Ti 0.6244 0.2282 0.7319
Ti 0.8756 0.7282 0.2319
S 0.0008 0.2821 0.8631
S 0.1189 0.2097 0.2230
S 0.1228 0.7524 0.9787
S 0.1258 0.0188 0.5965
S 0.1266 0.5335 0.6116
S 0.2467 0.7390 0.3514
S 0.2533 0.2390 0.8514
S 0.3734 0.0335 0.1116
S 0.3742 0.5188 0.0965
S 0.3772 0.2524 0.4787
S 0.3811 0.7097 0.7230
S 0.4992 0.7821 0.3631
S 0.5008 0.2179 0.8631
S 0.6189 0.2903 0.2230
S 0.6228 0.7476 0.9787
S 0.6258 0.4812 0.5965
S 0.6266 0.9665 0.6116
S 0.7467 0.7610 0.3514
S 0.7533 0.2610 0.8514
S 0.8734 0.4665 0.1116
S 0.8742 0.9812 0.0965
S 0.8772 0.2476 0.4787
S 0.8811 0.7903 0.7230
S 0.9992 0.7179 0.3631

The 6 most intense peaks (2θ from 10° to 80°), in order of rising 2θ:
2θ = 14.83°, I 50, hkl 2 0 1
2θ = 24.60°, I 100, hkl 2 1 2
2θ = 28.73°, I 61, hkl 4 1 1
2θ = 29.91°, I 62, hkl 4 0 2
2θ = 30.62°, I 54, hkl 0 2 2
2θ = 50.43°, I 66, hkl 4 2 4